The following is a computed powder XRD pattern of LaCl3O3. It was derived from a DFT-relaxed cell (GGA-PBE, the Materials Project), using CuKα.
Neutral-atom scattering factors, no anomalous dispersion.

Largest 10 diffraction maxima, low angle first, 2θ = 15–90°:
- 2θ 18.9, d = 4.702 Å, I = 100
- 2θ 19.6, d = 4.539 Å, I = 79
- 2θ 23.6, d = 3.772 Å, I = 40
- 2θ 27.3, d = 3.266 Å, I = 69
- 2θ 29.2, d = 3.058 Å, I = 48
- 2θ 29.8, d = 3.003 Å, I = 52
- 2θ 30.8, d = 2.904 Å, I = 62
- 2θ 38.2, d = 2.358 Å, I = 44
- 2θ 41.0, d = 2.202 Å, I = 68
- 2θ 41.9, d = 2.157 Å, I = 55

Structural model:
a = 15.113 Å, b = 9.078 Å, c = 4.948 Å
α = 90.00°, β = 90.00°, γ = 90.00°
Sites, in units of the cell vectors:
1 La 0.011 0.250 0.091
2 La 0.489 0.750 0.591
3 La 0.511 0.250 0.409
4 La 0.989 0.750 0.909
5 Cl 0.084 0.535 0.238
6 Cl 0.084 0.965 0.238
7 Cl 0.168 0.250 0.824
8 Cl 0.332 0.750 0.324
9 Cl 0.416 0.035 0.738
10 Cl 0.416 0.465 0.738
11 Cl 0.584 0.535 0.262
12 Cl 0.584 0.965 0.262
13 Cl 0.668 0.250 0.676
14 Cl 0.832 0.750 0.176
15 Cl 0.916 0.035 0.762
16 Cl 0.916 0.465 0.762
17 O 0.014 0.250 0.605
18 O 0.186 0.682 0.746
19 O 0.186 0.818 0.746
20 O 0.314 0.182 0.246
21 O 0.314 0.318 0.246
22 O 0.486 0.750 0.105
23 O 0.514 0.250 0.895
24 O 0.686 0.682 0.754
25 O 0.686 0.818 0.754
26 O 0.814 0.182 0.254
27 O 0.814 0.318 0.254
28 O 0.986 0.750 0.395

The following is a computed powder XRD pattern of LaCl3O3. It was derived from a DFT-relaxed cell (GGA-PBE, the Materials Project), using CuKα.
Neutral-atom scattering factors, no anomalous dispersion.

Largest 10 diffraction maxima, low angle first, 2θ = 15–90°:
- 2θ 26.3, d = 3.394 Å, I = 60
- 2θ 29.2, d = 3.058 Å, I = 24
- 2θ 33.6, d = 2.670 Å, I = 100
- 2θ 36.7, d = 2.447 Å, I = 50
- 2θ 39.0, d = 2.312 Å, I = 27
- 2θ 44.4, d = 2.039 Å, I = 51
- 2θ 45.1, d = 2.011 Å, I = 45
- 2θ 54.1, d = 1.697 Å, I = 23
- 2θ 64.6, d = 1.442 Å, I = 22
- 2θ 74.8, d = 1.269 Å, I = 22

Structural model:
a = 7.062 Å, b = 7.062 Å, c = 4.079 Å
α = 90.00°, β = 90.00°, γ = 120.00°
Sites, in units of the cell vectors:
1 La 0.000 0.000 0.000
2 Cl 0.000 0.701 0.500
3 Cl 0.299 0.299 0.500
4 Cl 0.701 0.000 0.500
5 O 0.000 0.353 0.000
6 O 0.353 0.000 0.000
7 O 0.647 0.647 0.000

The following is a computed powder XRD pattern of LaPb6ClO7. It was derived from a DFT-relaxed cell (GGA-PBE, the Materials Project), using CuKα.
Neutral-atom scattering factors, no anomalous dispersion.

Largest 10 diffraction maxima, low angle first, 2θ = 15–90°:
- 2θ 27.6, d = 3.235 Å, I = 18
- 2θ 27.7, d = 3.218 Å, I = 47
- 2θ 28.0, d = 3.182 Å, I = 34
- 2θ 28.7, d = 3.110 Å, I = 100
- 2θ 30.1, d = 2.973 Å, I = 60
- 2θ 37.7, d = 2.385 Å, I = 16
- 2θ 44.2, d = 2.051 Å, I = 22
- 2θ 44.8, d = 2.023 Å, I = 19
- 2θ 48.8, d = 1.867 Å, I = 19
- 2θ 52.9, d = 1.730 Å, I = 21

Structural model:
a = 10.386 Å, b = 10.386 Å, c = 9.815 Å
α = 115.95°, β = 115.95°, γ = 46.54°
Sites, in units of the cell vectors:
1 La 0.000 0.500 0.000
2 La 0.500 0.000 0.000
3 Pb 0.054 0.054 0.826
4 Pb 0.100 0.634 0.441
5 Pb 0.201 0.201 0.270
6 Pb 0.346 0.346 0.795
7 Pb 0.366 0.900 0.559
8 Pb 0.438 0.438 0.238
9 Pb 0.562 0.562 0.762
10 Pb 0.634 0.100 0.441
11 Pb 0.654 0.654 0.205
12 Pb 0.799 0.799 0.730
13 Pb 0.900 0.366 0.559
14 Pb 0.946 0.946 0.174
15 Cl 0.266 0.734 0.000
16 Cl 0.734 0.266 0.000
17 O 0.041 0.477 0.741
18 O 0.114 0.669 0.242
19 O 0.180 0.180 0.028
20 O 0.330 0.330 0.011
21 O 0.331 0.886 0.758
22 O 0.346 0.346 0.378
23 O 0.477 0.041 0.741
24 O 0.523 0.959 0.259
25 O 0.654 0.654 0.622
26 O 0.669 0.114 0.242
27 O 0.670 0.670 0.989
28 O 0.820 0.820 0.972
29 O 0.886 0.331 0.758
30 O 0.959 0.523 0.259